1.
Structure and computed X-ray powder pattern of BTe3I (DFT lattice parameters and positions (PBE); copper Kα).

Structural model:
Cell lengths 6.611, 7.017, 8.698 Å; angles 90.53, 90.06, 90.00 degrees
Space group P1 (No. 1)
Unique sites:
B 0.000 0.000 0.000 (multiplicity 1)
B 0.500 0.011 0.805 (multiplicity 1)
Te 0.123 0.907 0.224 (multiplicity 1)
Te 0.160 0.074 0.782 (multiplicity 1)
Te 0.395 0.747 0.672 (multiplicity 1)
Te 0.622 0.104 0.582 (multiplicity 1)
Te 0.660 0.938 0.023 (multiplicity 1)
Te 0.896 0.265 0.134 (multiplicity 1)
I 0.293 0.518 0.188 (multiplicity 1)
I 0.792 0.493 0.617 (multiplicity 1)

Main lines, by angle (10 to 90 degrees two-theta):
2θ = 20.4°, intensity 100.0
2θ = 24.5°, intensity 94.3
2θ = 27.5°, intensity 66.9
2θ = 29.9°, intensity 67.7
2θ = 30.7°, intensity 55.7
2θ = 31.7°, intensity 73.6

2.
Structure and computed X-ray powder pattern of Na12In2Sn (DFT lattice parameters and positions (PBE); copper Kα).

Structural model:
Cell lengths 6.632, 6.632, 23.874 Å; angles 90.00, 90.00, 90.00 degrees
Space group P4/nbm (No. 125, origin choice 2)
Unique sites:
Na 0.000 0.000 0.089 (multiplicity 8)
Na 0.075 0.575 0.434 (multiplicity 8)
Na 0.250 0.250 0.208 (multiplicity 4)
Na 0.250 0.250 0.333 (multiplicity 4)
In 0.250 0.750 0.282 (multiplicity 4)
Sn 0.250 0.750 0.000 (multiplicity 2)

Main lines, by angle (10 to 90 degrees two-theta):
2θ = 11.1°, intensity 80.0
2θ = 18.9°, intensity 73.3
2θ = 22.0°, intensity 74.2
2θ = 24.1°, intensity 85.3
2θ = 30.8°, intensity 71.2
2θ = 32.5°, intensity 100.0

3.
Structure and computed X-ray powder pattern of Ni2SnAu2 (DFT lattice parameters and positions (PBE); copper Kα).

Structural model:
Cell lengths 6.553, 6.553, 3.806 Å; angles 90.00, 90.00, 90.00 degrees
Space group P4/mbm (No. 127)
Unique sites:
Ni 0.132 0.368 0.000 (multiplicity 4)
Sn 0.000 0.000 0.000 (multiplicity 2)
Au 0.161 0.661 0.500 (multiplicity 4)

Main lines, by angle (10 to 90 degrees two-theta):
2θ = 30.5°, intensity 23.6
2θ = 36.2°, intensity 29.4
2θ = 38.8°, intensity 100.0
2θ = 43.7°, intensity 34.1
2θ = 47.8°, intensity 17.2
2θ = 66.7°, intensity 19.4

4.
Structure and computed X-ray powder pattern of Li3CuTe4O12 (DFT lattice parameters and positions (PBE); copper Kα).

Structural model:
Cell lengths 5.276, 5.668, 8.083 Å; angles 82.81, 88.96, 89.92 degrees
Space group P1 (No. 1)
Unique sites:
Li 0.000 0.000 0.000 (multiplicity 1)
Li 0.001 0.050 0.524 (multiplicity 1)
Li 0.474 0.519 0.504 (multiplicity 1)
Cu 0.497 0.613 0.059 (multiplicity 1)
Te 0.497 0.099 0.313 (multiplicity 1)
Te 0.509 0.098 0.795 (multiplicity 1)
Te 0.969 0.569 0.786 (multiplicity 1)
Te 0.983 0.620 0.318 (multiplicity 1)
O 0.119 0.629 0.558 (multiplicity 1)
O 0.152 0.941 0.272 (multiplicity 1)
O 0.189 0.264 0.841 (multiplicity 1)
O 0.309 0.474 0.268 (multiplicity 1)
O 0.325 0.805 0.878 (multiplicity 1)
O 0.370 0.119 0.547 (multiplicity 1)
O 0.648 0.146 0.003 (multiplicity 1)
O 0.664 0.412 0.701 (multiplicity 1)
O 0.686 0.796 0.406 (multiplicity 1)
O 0.810 0.928 0.729 (multiplicity 1)
O 0.818 0.320 0.390 (multiplicity 1)
O 0.858 0.665 0.097 (multiplicity 1)

Main lines, by angle (10 to 90 degrees two-theta):
2θ = 22.2°, intensity 56.0
2θ = 23.1°, intensity 100.0
2θ = 30.6°, intensity 37.3
2θ = 31.0°, intensity 37.9
2θ = 31.8°, intensity 35.0
2θ = 47.2°, intensity 27.6